Computed X-ray powder pattern of Be3ReB12 for Cu Kα X-rays, from a structure optimized by DFT (PBE).
Neutral-atom scattering factors, no anomalous dispersion.

Structure:
```
Be3ReB12
1.0
5.2605 3.0372 2.8853
-5.2605 3.0372 2.8853
0.0000 -6.0743 2.8853
Be Re B
6 2 24
Direct
0.0062 0.3487 0.6451
0.1451 0.8487 0.5062
0.3487 0.6451 0.0062
0.5062 0.1451 0.8487
0.6451 0.0062 0.3487
0.8487 0.5062 0.1451
0.3725 0.3725 0.3725
0.8725 0.8725 0.8725
0.0235 0.6454 0.9840
0.0302 0.8524 0.2027
0.0361 0.2087 0.8818
0.1454 0.5235 0.4840
0.2027 0.0302 0.8524
0.2087 0.8818 0.0361
0.2909 0.9971 0.3100
0.3100 0.2909 0.9971
0.3524 0.5302 0.7027
0.3818 0.7087 0.5361
0.4840 0.1454 0.5235
0.4971 0.7909 0.8100
0.5235 0.4840 0.1454
0.5302 0.7027 0.3524
0.5361 0.3818 0.7087
0.6454 0.9840 0.0235
0.7027 0.3524 0.5302
0.7087 0.5361 0.3818
0.7909 0.8100 0.4971
0.8100 0.4971 0.7909
0.8524 0.2027 0.0302
0.8818 0.0361 0.2087
0.9840 0.0235 0.6454
0.9971 0.3100 0.2909
```

Peak list (10 most intense, 10 to 90 degrees two-theta, most intense first)
2θ/deg	Rel. int.
16.85	100
22.75	44
33.25	38
28.45	30
41.37	27
29.41	22
45.63	17
48.36	16
34.09	12
49.76	12